Starting from a cell relaxed with PBE, the PXRD pattern of Ba3Ta4TiO15 was calculated for Cu Kα (λ = 1.5418 Å).

Cell and atoms:
```
Ba3Ta4TiO15
1.0
4.024 0.000 0.000
0.000 12.751 0.000
-0.028 0.000 12.676
Ba Ta Ti O
6 8 2 30
Direct
0.000 0.068 0.000 Ba
0.000 0.399 0.645 Ba
0.000 0.601 0.145 Ba
0.000 0.932 0.500 Ba
0.994 0.248 0.342 Ba
0.994 0.752 0.842 Ba
0.495 0.037 0.260 Ta
0.495 0.963 0.760 Ta
0.497 0.463 0.409 Ta
0.497 0.537 0.909 Ta
0.503 0.325 0.121 Ta
0.503 0.675 0.621 Ta
0.512 0.250 0.834 Ta
0.512 0.750 0.334 Ta
0.527 0.170 0.551 Ti
0.527 0.830 0.051 Ti
0.480 0.405 0.827 O
0.480 0.595 0.327 O
0.481 0.242 0.993 O
0.481 0.250 0.680 O
0.481 0.750 0.180 O
0.481 0.758 0.493 O
0.482 0.107 0.406 O
0.482 0.893 0.906 O
0.483 0.093 0.843 O
0.483 0.324 0.481 O
0.483 0.676 0.981 O
0.483 0.907 0.343 O
0.484 0.182 0.198 O
0.484 0.389 0.270 O
0.484 0.464 0.052 O
0.484 0.536 0.552 O
0.484 0.611 0.770 O
0.484 0.818 0.698 O
0.487 0.031 0.619 O
0.487 0.969 0.119 O
0.970 0.174 0.545 O
0.970 0.826 0.045 O
0.984 0.326 0.131 O
0.984 0.459 0.415 O
0.984 0.541 0.915 O
0.984 0.674 0.631 O
0.985 0.042 0.261 O
0.985 0.958 0.761 O
0.986 0.249 0.837 O
0.986 0.751 0.337 O
```

Largest 8 diffraction maxima, most intense first, 2θ from 15° to 90°:
2θ (°)  I/Imax
31.43  100
27.16  56
31.53  40
29.03  36
45.05  33
25.25  32
29.81  29
22.08  26

Starting from a cell relaxed with PBE, the PXRD pattern of Ba4Ta2TiZnO12 was calculated for Cu Kα (λ = 1.5418 Å).

Cell and atoms:
```
Ba4Ta2TiZnO12
1.0
-4.098 4.098 8.289
4.098 -4.098 8.289
4.098 4.098 -8.289
Ba Ta Ti Zn O
8 4 2 2 24
Direct
0.000 0.244 0.244 Ba
0.000 0.756 0.756 Ba
0.244 0.000 0.744 Ba
0.244 0.500 0.244 Ba
0.500 0.244 0.744 Ba
0.500 0.756 0.256 Ba
0.756 0.000 0.256 Ba
0.756 0.500 0.756 Ba
0.126 0.376 0.750 Ta
0.376 0.126 0.250 Ta
0.624 0.874 0.750 Ta
0.874 0.624 0.250 Ta
0.375 0.625 0.750 Ti
0.625 0.375 0.250 Ti
0.125 0.875 0.250 Zn
0.875 0.125 0.750 Zn
0.010 0.260 0.750 O
0.123 0.622 0.502 O
0.130 0.139 0.509 O
0.130 0.621 0.991 O
0.139 0.130 0.009 O
0.255 0.505 0.750 O
0.260 0.010 0.250 O
0.378 0.380 0.502 O
0.378 0.877 0.998 O
0.379 0.870 0.509 O
0.380 0.378 0.002 O
0.495 0.745 0.750 O
0.505 0.255 0.250 O
0.620 0.622 0.998 O
0.621 0.130 0.491 O
0.622 0.123 0.002 O
0.622 0.620 0.498 O
0.740 0.990 0.750 O
0.745 0.495 0.250 O
0.861 0.870 0.991 O
0.870 0.379 0.009 O
0.870 0.861 0.491 O
0.877 0.378 0.498 O
0.990 0.740 0.250 O
```

Largest 8 diffraction maxima, most intense first, 2θ from 15° to 90°:
2θ (°)  I/Imax
30.68  100
30.86  49
54.77  39
44.21  29
18.68  22
54.44  20
63.90  18
72.97  17